Theoretical X-ray diffraction stick pattern
Compound: LiB4C4
Radiation: copper Kα
Structure: a structure optimized by DFT (GGA-PBE)
Kinematic intensities with the Lorentz-polarization factor, no thermal factor.

The 10 most intense peaks (2θ = 10–90°), in order of rising 2θ:
two_theta  I_rel  h k l
24.21  1000  0 0 2
38.44  72  2 1 0
39.18  52  0 2 0
45.95  137  2 1 2
46.59  90  0 2 2
49.60  100  0 0 4
70.52  56  2 3 0
74.33  34  4 0 2
75.78  63  2 3 2
89.65  31  4 0 4

Crystal structure
```
data_LiB4C4
_cell_length_a 5.443
_cell_length_b 4.598
_cell_length_c 7.352
_cell_angle_alpha 90.00
_cell_angle_beta 90.00
_cell_angle_gamma 90.00
_space_group_name_H-M_alt 'P m n a'
_space_group_IT_number 53
loop_
_space_group_symop_operation_xyz
'x,y,z'
'-x,-y,-z'
'-x+1/2,-y,z+1/2'
'x+1/2,y,-z+1/2'
'x,-y,-z'
'-x,y,z'
'-x+1/2,y,-z+1/2'
'x+1/2,-y,z+1/2'
loop_
_atom_site_label
_atom_site_fract_x
_atom_site_fract_y
_atom_site_fract_z
Li1 0.000 0.000 0.000
B1 0.000 0.325 0.256
B2 0.250 0.178 0.750
C1 0.000 0.330 0.751
C2 0.250 0.170 0.250
```

=====

Theoretical X-ray diffraction stick pattern
Compound: LiB2C2
Radiation: copper Kα
Structure: a structure optimized by DFT (GGA-PBE)
Kinematic intensities with the Lorentz-polarization factor, no thermal factor.

The 10 most intense peaks (2θ = 10–90°), in order of rising 2θ:
two_theta  I_rel  h k l
24.27  1000  0 2 0
31.31  63  1 2 0
38.39  51  1 0 1
40.38  54  1 1 1
45.94  196  1 2 1
46.95  113  2 2 0
49.73  112  0 4 0
53.88  47  1 4 0
70.98  46  3 0 1
72.31  54  3 1 1

Crystal structure
```
data_LiB2C2
_cell_length_a 4.557
_cell_length_b 7.334
_cell_length_c 2.735
_cell_angle_alpha 90.00
_cell_angle_beta 90.00
_cell_angle_gamma 90.00
_space_group_name_H-M_alt 'P n n m'
_space_group_IT_number 58
loop_
_space_group_symop_operation_xyz
'x,y,z'
'-x,-y,-z'
'-x,-y,z'
'x,y,-z'
'x+1/2,-y+1/2,-z+1/2'
'-x+1/2,y+1/2,z+1/2'
'-x+1/2,y+1/2,-z+1/2'
'x+1/2,-y+1/2,z+1/2'
loop_
_atom_site_label
_atom_site_fract_x
_atom_site_fract_y
_atom_site_fract_z
Li1 0.000 0.000 0.000
B1 0.128 0.271 0.500
C1 0.211 0.772 0.500
```